The following is a theoretical powder XRD pattern of KBaAsSe3. It was derived from a PBE-relaxed structure, using copper Kα.

Crystal structure
```
data_KBaAsSe3
_symmetry_space_group_name_H-M 'P 1 21/c 1'
_symmetry_Int_Tables_number 14
_cell_length_a 9.5575
_cell_length_b 9.2427
_cell_length_c 9.4666
_cell_angle_alpha 90.00
_cell_angle_beta 108.24
_cell_angle_gamma 90.00
loop_
_symmetry_equiv_pos_as_xyz
'x,y,z'
'-x,-y,-z'
'-x,y+1/2,-z+1/2'
'x,-y+1/2,z+1/2'
loop_
_atom_site_label
_atom_site_type_symbol
_atom_site_fract_x
_atom_site_fract_y
_atom_site_fract_z
K1 K 0.0917 0.0802 0.2240
Ba1 Ba 0.4168 0.7148 0.4649
As1 As 0.2555 0.0430 0.6411
Se1 Se 0.1447 0.6936 0.0948
Se2 Se 0.2292 0.1055 0.8790
Se3 Se 0.4773 0.0110 0.2773
```

Most intense lines, 2θ from 10° to 90°, in order of rising 2θ:
Position (°2θ)  intensity  index
14.97  73  1 1 -1
27.68  100  0 2 2
29.93  68  1 1 -3
30.65  87  1 3 0
31.40  82  2 2 1
31.55  67  3 1 -2

The following is a theoretical powder XRD pattern of Te4WCl6. It was derived from a PBE-relaxed structure, using copper Kα.

Crystal structure
```
data_Te4WCl6
_symmetry_space_group_name_H-M 'C 1 2/c 1'
_symmetry_Int_Tables_number 15
_cell_length_a 12.2343
_cell_length_b 21.4444
_cell_length_c 12.2683
_cell_angle_alpha 90.00
_cell_angle_beta 117.53
_cell_angle_gamma 90.00
loop_
_symmetry_equiv_pos_as_xyz
'x,y,z'
'-x,-y,-z'
'-x,y,-z+1/2'
'x,-y,z+1/2'
'x+1/2,y+1/2,z'
'-x+1/2,-y+1/2,-z'
'-x+1/2,y+1/2,-z+1/2'
'x+1/2,-y+1/2,z+1/2'
loop_
_atom_site_label
_atom_site_type_symbol
_atom_site_fract_x
_atom_site_fract_y
_atom_site_fract_z
Te1 Te 0.0347 0.0855 0.1431
Te2 Te 0.0660 0.2080 0.4227
Te3 Te 0.2114 0.3504 0.4979
Te4 Te 0.2204 0.3847 0.7252
W1 W 0.2194 0.3845 0.1097
Cl1 Cl 0.0654 0.3424 0.9223
Cl2 Cl 0.0656 0.4402 0.1281
Cl3 Cl 0.1339 0.0720 0.7053
Cl4 Cl 0.1355 0.1758 0.9108
Cl5 Cl 0.1887 0.3009 0.2197
Cl6 Cl 0.2484 0.0343 0.0000
```

Most intense lines, 2θ from 10° to 90°, in order of rising 2θ:
Position (°2θ)  intensity  index
15.03  60  1 1 -2
16.54  100  0 4 0
22.35  42  1 1 -3
23.33  47  2 4 0
23.82  43  2 2 -3
30.29  40  1 7 0

The following is a theoretical powder XRD pattern of K2FeNiC6N6. It was derived from a PBE-relaxed structure, using copper Kα.

Crystal structure
```
data_K2FeNiC6N6
_symmetry_space_group_name_H-M 'F m -3 m'
_symmetry_Int_Tables_number 225
_symmetry_space_group_name_Hall '-F 4 2 3'
_cell_length_a 10.2008
_cell_length_b 10.2008
_cell_length_c 10.2008
_cell_angle_alpha 90.00
_cell_angle_beta 90.00
_cell_angle_gamma 90.00
loop_
_atom_site_label
_atom_site_type_symbol
_atom_site_fract_x
_atom_site_fract_y
_atom_site_fract_z
K1 K 0.2500 0.2500 0.2500
Fe1 Fe 0.0000 0.0000 0.0000
Ni1 Ni 0.0000 0.0000 0.5000
C1 C 0.0000 0.0000 0.1841
N1 N 0.0000 0.0000 0.2997
```

Most intense lines, 2θ from 10° to 90°, in order of rising 2θ:
Position (°2θ)  intensity  index
17.39  44  2 0 0
24.69  100  2 2 0
35.19  57  4 0 0
43.46  26  4 2 2
50.62  26  4 4 0
57.11  29  6 2 0

The following is a theoretical powder XRD pattern of Cd3Pb2Se4I2O12. It was derived from a PBE-relaxed structure, using copper Kα.

Crystal structure
```
data_Cd3Pb2Se4I2O12
_symmetry_space_group_name_H-M 'P 1 2/c 1'
_symmetry_Int_Tables_number 13
_cell_length_a 11.3554
_cell_length_b 5.5147
_cell_length_c 16.8954
_cell_angle_alpha 90.00
_cell_angle_beta 119.15
_cell_angle_gamma 90.00
loop_
_symmetry_equiv_pos_as_xyz
'x,y,z'
'-x,-y,-z'
'-x,y,-z+1/2'
'x,-y,z+1/2'
loop_
_atom_site_label
_atom_site_type_symbol
_atom_site_fract_x
_atom_site_fract_y
_atom_site_fract_z
Cd1 Cd 0.0000 0.1981 0.2500
Cd2 Cd 0.0040 0.2813 0.5906
Pb1 Pb 0.2962 0.2490 0.5084
Se1 Se 0.2038 0.2421 0.1309
Se2 Se 0.2353 0.2445 0.8483
I1 I 0.4912 0.2452 0.3964
O1 O 0.0723 0.3168 0.1500
O2 O 0.1472 0.0179 0.5647
O3 O 0.1501 0.1650 0.7370
O4 O 0.1543 0.0340 0.8866
O5 O 0.1584 0.4572 0.0435
O6 O 0.1578 0.4964 0.3606
```

Most intense lines, 2θ from 10° to 90°, in order of rising 2θ:
Position (°2θ)  intensity  index
12.00  42  0 0 2
28.84  98  1 1 3
29.05  100  3 1 -3
31.78  30  2 0 -6
32.47  38  0 2 0
46.08  33  2 2 -6

The following is a theoretical powder XRD pattern of Te3Cl2. It was derived from a PBE-relaxed structure, using copper Kα.

Crystal structure
```
data_Te3Cl2
_symmetry_space_group_name_H-M 'P 1 21/c 1'
_symmetry_Int_Tables_number 14
_cell_length_a 7.5525
_cell_length_b 8.7409
_cell_length_c 12.1605
_cell_angle_alpha 90.00
_cell_angle_beta 120.65
_cell_angle_gamma 90.00
loop_
_symmetry_equiv_pos_as_xyz
'x,y,z'
'-x,-y,-z'
'-x,y+1/2,-z+1/2'
'x,-y+1/2,z+1/2'
loop_
_atom_site_label
_atom_site_type_symbol
_atom_site_fract_x
_atom_site_fract_y
_atom_site_fract_z
Te1 Te 0.0051 0.2451 0.4085
Te2 Te 0.2989 0.1489 0.8391
Te3 Te 0.3016 0.6582 0.3550
Cl1 Cl 0.2154 0.5148 0.6695
Cl2 Cl 0.2277 0.0063 0.4787
```

Most intense lines, 2θ from 10° to 90°, in order of rising 2θ:
Position (°2θ)  intensity  index
15.58  75  1 1 -1
23.76  81  2 0 -2
26.78  79  1 0 2
27.52  100  0 1 3
28.23  71  2 1 -3
32.99  86  1 3 -1

The following is a theoretical powder XRD pattern of AlAs3Se4Cl4. It was derived from a PBE-relaxed structure, using copper Kα.

Crystal structure
```
data_AlAs3Se4Cl4
_symmetry_space_group_name_H-M 'C 1 2/c 1'
_symmetry_Int_Tables_number 15
_cell_length_a 21.2742
_cell_length_b 13.2056
_cell_length_c 14.4886
_cell_angle_alpha 90.00
_cell_angle_beta 126.92
_cell_angle_gamma 90.00
loop_
_symmetry_equiv_pos_as_xyz
'x,y,z'
'-x,-y,-z'
'-x,y,-z+1/2'
'x,-y,z+1/2'
'x+1/2,y+1/2,z'
'-x+1/2,-y+1/2,-z'
'-x+1/2,y+1/2,-z+1/2'
'x+1/2,-y+1/2,z+1/2'
loop_
_atom_site_label
_atom_site_type_symbol
_atom_site_fract_x
_atom_site_fract_y
_atom_site_fract_z
Al1 Al 0.2284 0.0401 0.4199
As1 As 0.0862 0.2096 0.9489
As2 As 0.0995 0.2404 0.5764
As3 As 0.1137 0.3148 0.1141
Se1 Se 0.0073 0.2854 0.1190
Se2 Se 0.0327 0.1278 0.6223
Se3 Se 0.0428 0.3951 0.9142
Se4 Se 0.0912 0.3904 0.6670
Cl1 Cl 0.1202 0.0567 0.3998
Cl2 Cl 0.1769 0.3783 0.4322
Cl3 Cl 0.2144 0.0890 0.2655
Cl4 Cl 0.2413 0.3793 0.0555
```

Most intense lines, 2θ from 10° to 90°, in order of rising 2θ:
Position (°2θ)  intensity  index
10.40  100  2 0 0
13.41  40  0 2 0
16.99  47  2 2 0
25.87  39  2 0 -4
30.15  41  5 3 -3
30.90  45  0 0 4

Which formula does entry 3 have? K2FeNiC6N6